ZrNi5B2O10: theoretical powder XRD pattern (copper Kα), based on a DFT-relaxed cell (GGA+U, Alexandria).
Neutral-atom scattering factors, no anomalous dispersion.

Structural model:
```
data_ZrNi5B2O10
_space_group_name_H-M_alt 'P 1'
_space_group_IT_number 1
_cell_length_a 3.1474
_cell_length_b 9.3538
_cell_length_c 12.4824
_cell_angle_alpha 90.00
_cell_angle_beta 90.00
_cell_angle_gamma 90.00
loop_
_space_group_symop_operation_xyz
'x,y,z'
loop_
_atom_site_label
_atom_site_fract_x
_atom_site_fract_y
_atom_site_fract_z
Zr1 0.0000 0.0119 0.0000
Zr2 0.0000 0.9881 0.5000
Ni1 0.0000 0.2648 0.3776
Ni2 0.0000 0.4881 0.7663
Ni3 0.0000 0.5119 0.2663
Ni4 0.0000 0.7352 0.8776
Ni5 0.5000 0.2627 0.1675
Ni6 0.5000 0.2655 0.8769
Ni7 0.5000 0.2697 0.6012
Ni8 0.5000 0.7303 0.1012
Ni9 0.5000 0.7345 0.3769
Ni10 0.5000 0.7373 0.6675
B1 0.0000 0.0243 0.7419
B2 0.0000 0.4711 0.0218
B3 0.0000 0.5289 0.5218
B4 0.0000 0.9757 0.2419
O1 0.0000 0.0974 0.8393
O2 0.0000 0.1050 0.6472
O3 0.0000 0.1223 0.2360
O4 0.0000 0.3786 0.5220
O5 0.0000 0.3962 0.9255
O6 0.0000 0.3984 0.1186
O7 0.0000 0.6016 0.6186
O8 0.0000 0.6038 0.4255
O9 0.0000 0.6214 0.0220
O10 0.0000 0.8777 0.7360
O11 0.0000 0.8950 0.1472
O12 0.0000 0.9026 0.3393
O13 0.5000 0.1331 0.4598
O14 0.5000 0.1506 0.0264
O15 0.5000 0.3594 0.3066
O16 0.5000 0.3593 0.7384
O17 0.5000 0.6407 0.2384
O18 0.5000 0.6406 0.8066
O19 0.5000 0.8494 0.5264
O20 0.5000 0.8669 0.9598
```

Largest 12 diffraction maxima, in order of rising 2θ, 5° ≤ 2θ ≤ 70°:
Position (°2θ), I_rel
17.1, 80.1
34.3, 87.5
34.6, 100.0
37.1, 32.3
40.7, 24.3
41.4, 22.0
43.3, 38.6
46.4, 30.3
57.3, 27.1
58.7, 25.3
60.5, 29.2
69.9, 23.1